Structure and simulated X-ray diffraction stick pattern of NaNb2PbS4 (a DFT-relaxed cell (PBE, OQMD); Cu Kα (weighted mean of Kα1 and Kα2)).

Structural model:
```
data_NaNb2PbS4
_cell_length_a 3.3980
_cell_length_b 3.3980
_cell_length_c 17.2821
_cell_angle_alpha 90.00
_cell_angle_beta 90.00
_cell_angle_gamma 120.00
_symmetry_space_group_name_H-M 'P -3 m 1'
_symmetry_Int_Tables_number 164
_symmetry_space_group_name_Hall '-P 3 2"'
loop_
_atom_site_label
_atom_site_fract_x
_atom_site_fract_y
_atom_site_fract_z
Na1 0.0000 0.0000 0.0000
Nb1 0.3333 0.6667 0.2402
Pb1 0.0000 0.0000 0.5000
S1 0.0000 0.0000 0.1508
S2 0.0000 0.0000 0.3295
```

The 6 most intense peaks (2θ = 10–90°), in order of rising 2θ:
2theta, Rel. int., index
20.56, 67.9, 0 0 4
30.82, 82.1, 1 0 1
32.13, 88.7, 0 1 2
34.22, 54.7, 0 1 3
40.25, 57.7, 1 0 5
43.99, 100.0, 0 1 6